No. 1
Theoretical XRD peak list
Compound: Rb3Pt5
Radiation: Cu Kα
Structure: a crystal structure in Alexandria, relaxed with GGA-PBE
Intensities are scaled so that the largest is 100.

Structure:
```
data_Rb3Pt5
_cell_length_a 5.0842
_cell_length_b 23.2060
_cell_length_c 9.2289
_cell_angle_alpha 90.00
_cell_angle_beta 105.66
_cell_angle_gamma 90.00
_symmetry_space_group_name_H-M 'C 1 2/m 1'
_symmetry_Int_Tables_number 12
loop_
_symmetry_equiv_pos_as_xyz
'x,y,z'
'-x,-y,-z'
'-x,y,-z'
'x,-y,z'
'x+1/2,y+1/2,z'
'-x+1/2,-y+1/2,-z'
'-x+1/2,y+1/2,-z'
'x+1/2,-y+1/2,z'
loop_
_atom_site_label
_atom_site_type_symbol
_atom_site_fract_x
_atom_site_fract_y
_atom_site_fract_z
Rb1 Rb 0.0000 0.1561 0.0000
Rb2 Rb 0.0000 0.3082 0.5000
Rb3 Rb 0.2005 0.0000 0.8886
Pt1 Pt 0.0783 0.0971 0.6465
Pt2 Pt 0.0981 0.4238 0.6906
Pt3 Pt 0.2471 0.0000 0.4977
```

Main lines, by angle (2θ from 10° to 90°):
| 2θ (°) | intensity | index |
| --- | --- | --- |
| 12.5 | 100 | 0 2 1 |
| 25.2 | 34 | 0 4 2 |
| 30.2 | 39 | 0 0 3 |
| 30.6 | 96 | 0 6 2 |
| 34.0 | 73 | 0 4 3 |
| 38.3 | 79 | 0 6 3 |
| 39.5 | 35 | 1 9 -1 |
| 40.1 | 55 | 2 4 -2 |
| 42.6 | 57 | 2 6 -1 |
| 47.0 | 38 | 0 12 0 |

***

No. 2
Theoretical XRD peak list
Compound: Tb2Pm3NdTe6
Radiation: Cu Kα
Structure: a crystal structure in Alexandria, relaxed with GGA-PBE
Intensities are scaled so that the largest is 100.

Structure:
```
data_Tb2Pm3NdTe6
_cell_length_a 19.3486
_cell_length_b 4.4147
_cell_length_c 8.9348
_cell_angle_alpha 90.00
_cell_angle_beta 103.22
_cell_angle_gamma 90.00
_symmetry_space_group_name_H-M 'C 1 2/m 1'
_symmetry_Int_Tables_number 12
loop_
_symmetry_equiv_pos_as_xyz
'x,y,z'
'-x,-y,-z'
'-x,y,-z'
'x,-y,z'
'x+1/2,y+1/2,z'
'-x+1/2,-y+1/2,-z'
'-x+1/2,y+1/2,-z'
'x+1/2,-y+1/2,z'
loop_
_atom_site_label
_atom_site_type_symbol
_atom_site_fract_x
_atom_site_fract_y
_atom_site_fract_z
Tb1 Tb 0.1653 0.0000 0.3306
Pm1 Pm 0.0000 0.5000 0.5000
Pm2 Pm 0.1627 0.0000 0.8329
Nd1 Nd 0.0000 0.5000 0.0000
Te1 Te 0.0031 0.0000 0.2534
Te2 Te 0.1692 0.5000 0.0896
Te3 Te 0.1692 0.5000 0.5790
```

Main lines, by angle (2θ from 10° to 90°):
| 2θ (°) | intensity | index |
| --- | --- | --- |
| 28.4 | 100 | 1 1 -2 |
| 40.4 | 13 | 2 0 -4 |
| 40.6 | 50 | 5 1 2 |
| 40.9 | 13 | 0 2 0 |
| 50.1 | 7 | 4 0 4 |
| 50.2 | 7 | 8 0 -4 |
| 50.5 | 13 | 6 2 0 |
| 58.8 | 13 | 2 2 -4 |
| 66.6 | 17 | 4 2 4 |
| 74.3 | 8 | 5 3 2 |

***

No. 3
Theoretical XRD peak list
Compound: Pm6InAg5
Radiation: Cu Kα
Structure: a crystal structure in Alexandria, relaxed with GGA-PBE
Intensities are scaled so that the largest is 100.

Structure:
```
data_Pm6InAg5
_cell_length_a 5.2799
_cell_length_b 7.5824
_cell_length_c 8.3490
_cell_angle_alpha 90.00
_cell_angle_beta 108.28
_cell_angle_gamma 90.00
_symmetry_space_group_name_H-M 'P 1 2/m 1'
_symmetry_Int_Tables_number 10
loop_
_symmetry_equiv_pos_as_xyz
'x,y,z'
'-x,-y,-z'
'-x,y,-z'
'x,-y,z'
loop_
_atom_site_label
_atom_site_type_symbol
_atom_site_fract_x
_atom_site_fract_y
_atom_site_fract_z
Pm1 Pm 0.0000 0.2414 0.0000
Pm2 Pm 0.3306 0.2486 0.6611
In1 In 0.5000 0.5000 0.0000
Ag1 Ag 0.1597 0.5000 0.3198
Ag2 Ag 0.1669 0.0000 0.3335
Ag3 Ag 0.5000 0.0000 0.0000
```

Main lines, by angle (2θ from 10° to 90°):
| 2θ (°) | intensity | index |
| --- | --- | --- |
| 33.7 | 100 | 1 2 1 |
| 33.9 | 49 | 2 0 -1 |
| 48.0 | 9 | 0 4 0 |
| 48.7 | 9 | 2 0 2 |
| 48.8 | 9 | 2 0 -4 |
| 60.1 | 18 | 2 4 -1 |
| 60.5 | 26 | 3 2 0 |
| 60.6 | 9 | 3 2 -3 |
| 70.8 | 5 | 2 4 2 |
| 70.9 | 5 | 2 4 -4 |

***

No. 4
Theoretical XRD peak list
Compound: KPd2Au3
Radiation: Cu Kα
Structure: a crystal structure in Alexandria, relaxed with GGA-PBE
Intensities are scaled so that the largest is 100.

Structure:
```
data_KPd2Au3
_cell_length_a 11.0713
_cell_length_b 9.0831
_cell_length_c 5.5279
_cell_angle_alpha 90.00
_cell_angle_beta 90.00
_cell_angle_gamma 90.00
_symmetry_space_group_name_H-M 'C m c m'
_symmetry_Int_Tables_number 63
_symmetry_space_group_name_Hall '-C 2c 2'
loop_
_atom_site_label
_atom_site_type_symbol
_atom_site_fract_x
_atom_site_fract_y
_atom_site_fract_z
K1 K 0.0000 0.1780 0.2500
Pd1 Pd 0.2068 0.5000 0.0000
Au1 Au 0.0000 0.4212 0.7500
Au2 Au 0.2101 0.2385 0.7500
```

Main lines, by angle (2θ from 10° to 90°):
| 2θ (°) | intensity | index |
| --- | --- | --- |
| 12.6 | 94 | 1 1 0 |
| 16.0 | 57 | 2 0 0 |
| 20.4 | 35 | 1 1 1 |
| 30.2 | 36 | 2 2 1 |
| 32.4 | 59 | 4 0 0 |
| 38.1 | 43 | 0 2 2 |
| 41.6 | 100 | 2 2 2 |
| 41.9 | 68 | 3 3 1 |
| 43.1 | 49 | 2 4 0 |
| 45.2 | 37 | 5 1 1 |